1.
Hf6SiP2: simulated X-ray powder pattern (Cu Ka), based on a structure optimized by DFT (PBE).
No peak broadening, texture or thermal motion is included.

The 10 most intense peaks (2θ from 10° to 90°), sorted by position:
two_theta  intensity
28.6  44
32.1  71
32.8  95
33.2  100
33.6  76
34.1  61
34.8  84
35.5  49
36.4  62
37.6  45

Cell lengths 5.9104, 6.6593, 10.3553 Å; angles 90.00, 120.56, 90.00 degrees
Positions (direct):
Hf (0.0803, 0.0476, 0.2628)
Hf (0.0803, 0.4524, 0.7628)
Hf (0.2282, 0.6556, 0.0641)
Hf (0.2282, 0.8444, 0.5641)
Hf (0.4176, 0.1960, 0.0580)
Hf (0.4176, 0.3040, 0.5580)
Hf (0.5824, 0.6960, 0.4420)
Hf (0.5824, 0.8040, 0.9420)
Hf (0.7718, 0.1556, 0.4359)
Hf (0.7718, 0.3444, 0.9359)
Hf (0.9197, 0.5476, 0.2372)
Hf (0.9197, 0.9524, 0.7372)
Si (0.0000, 0.0000, 0.0000)
Si (0.0000, 0.5000, 0.5000)
P (0.3437, 0.1270, 0.7735)
P (0.3437, 0.3730, 0.2735)
P (0.6563, 0.6270, 0.7265)
P (0.6563, 0.8730, 0.2265)

---

2.
HfTh2P3: simulated X-ray powder pattern (Cu Ka), based on a structure optimized by DFT (PBE).
No peak broadening, texture or thermal motion is included.

The 10 most intense peaks (2θ from 10° to 90°), sorted by position:
two_theta  intensity
27.3  53
27.4  53
31.7  100
45.3  12
45.4  49
53.7  27
53.9  18
56.3  13
56.6  13
75.2  22

Cell lengths 6.9323, 6.9323, 6.9153 Å; angles 99.66, 99.66, 120.23 degrees
Positions (direct):
Hf (0.1683, 0.8317, 0.0000)
Hf (0.8317, 0.1683, 0.0000)
Th (0.0000, 0.0000, 0.5000)
Th (0.3383, 0.6617, 0.5000)
Th (0.5000, 0.5000, 0.0000)
Th (0.6617, 0.3383, 0.5000)
P (0.0724, 0.4225, 0.7680)
P (0.2238, 0.2238, 0.2246)
P (0.4225, 0.0724, 0.7680)
P (0.5775, 0.9276, 0.2320)
P (0.7762, 0.7762, 0.7754)
P (0.9276, 0.5775, 0.2320)

---

> What is the formula in the first record?

Hf6SiP2